(1)
Computed XRD peak list of Ac4La4Tm3 for CuKα, from the PBE geometry in Alexandria.
Kinematic intensities with the Lorentz-polarization factor, no thermal factor.

Principal peaks in the range 2θ from 10° to 80°, in order of rising 2θ:
| d (Å) | Position (°2θ) | intensity | index |
| --- | --- | --- | --- |
| 3.051 | 29.27 | 95 | 1 1 2 |
| 2.985 | 29.94 | 96 | 0 1 6 |
| 2.934 | 30.47 | 100 | 0 2 1 |
| 2.074 | 43.63 | 39 | 1 2 -3 |
| 1.692 | 54.22 | 20 | 1 1 -9 |
| 1.579 | 58.43 | 30 | 2 1 -5 |

Structure:
```
data_Ac4La4Tm3
_space_group_name_H-M_alt 'P 1'
_space_group_IT_number 1
_space_group_name_Hall 'P 1'
_cell_length_a 3.723
_cell_length_b 5.866
_cell_length_c 19.292
_cell_angle_alpha 81.28
_cell_angle_beta 89.98
_cell_angle_gamma 90.00
loop_
_atom_site_label
_atom_site_fract_x
_atom_site_fract_y
_atom_site_fract_z
Ac1 0.000 0.000 0.000
Ac2 0.000 0.370 0.262
Ac3 0.501 0.812 0.379
Ac4 0.502 0.185 0.636
La1 0.001 0.270 0.463
La2 0.001 0.630 0.742
La3 0.500 0.547 0.909
La4 0.500 0.911 0.178
Tm1 0.003 0.725 0.554
Tm2 0.500 0.090 0.822
Tm3 0.500 0.455 0.089
```


(2)
Computed XRD peak list of Ac5La6Tm for CuKα, from the PBE geometry in Alexandria.
Kinematic intensities with the Lorentz-polarization factor, no thermal factor.

Principal peaks in the range 2θ from 10° to 80°, in order of rising 2θ:
| d (Å) | Position (°2θ) | intensity | index |
| --- | --- | --- | --- |
| 3.123 | 28.58 | 100 | 1 3 1 |
| 2.720 | 32.93 | 17 | 2 0 -2 |
| 2.703 | 33.14 | 17 | 0 6 0 |
| 2.690 | 33.31 | 17 | 4 0 0 |
| 1.916 | 47.44 | 19 | 2 0 2 |
| 1.630 | 56.44 | 15 | 1 9 1 |

Structure:
```
data_Ac5La6Tm
_space_group_name_H-M_alt 'C 1 2/m 1'
_space_group_IT_number 12
_space_group_name_Hall '-C 2y'
_cell_length_a 12.050
_cell_length_b 16.220
_cell_length_c 5.441
_cell_angle_alpha 90.00
_cell_angle_beta 116.76
_cell_angle_gamma 90.00
loop_
_atom_site_label
_atom_site_fract_x
_atom_site_fract_y
_atom_site_fract_z
Ac1 0.000 0.000 0.000
Ac2 0.000 0.167 0.500
Ac3 0.000 0.338 0.000
La1 0.246 0.335 0.746
La2 0.246 0.500 0.245
Tm1 0.000 0.500 0.500
```


(3)
Computed XRD peak list of Ac2La7Tm3 for CuKα, from the PBE geometry in Alexandria.
Kinematic intensities with the Lorentz-polarization factor, no thermal factor.

Principal peaks in the range 2θ from 10° to 80°, in order of rising 2θ:
| d (Å) | Position (°2θ) | intensity | index |
| --- | --- | --- | --- |
| 3.021 | 29.57 | 86 | 0 0 6 |
| 2.998 | 29.80 | 73 | 2 0 -3 |
| 2.978 | 30.01 | 100 | 1 1 2 |
| 2.781 | 32.19 | 58 | 2 0 3 |
| 2.670 | 33.57 | 80 | 1 1 -4 |
| 1.883 | 48.33 | 37 | 3 1 -1 |

Structure:
```
data_Ac2La7Tm3
_space_group_name_H-M_alt 'P 1 2/m 1'
_space_group_IT_number 10
_space_group_name_Hall '-P 2y'
_cell_length_a 6.588
_cell_length_b 3.667
_cell_length_c 18.201
_cell_angle_alpha 90.00
_cell_angle_beta 95.12
_cell_angle_gamma 90.00
loop_
_atom_site_label
_atom_site_fract_x
_atom_site_fract_y
_atom_site_fract_z
Ac1 0.073 0.000 0.171
La1 0.000 0.500 0.500
La2 0.227 0.000 0.668
La3 0.268 0.000 0.991
La4 0.289 0.500 0.339
Tm1 0.442 0.500 0.836
Tm2 0.500 0.000 0.500
```


(4)
Computed XRD peak list of Ac12La5Tm for CuKα, from the PBE geometry in Alexandria.
Kinematic intensities with the Lorentz-polarization factor, no thermal factor.

Principal peaks in the range 2θ from 10° to 80°, in order of rising 2θ:
| d (Å) | Position (°2θ) | intensity | index |
| --- | --- | --- | --- |
| 3.256 | 27.39 | 100 | 1 3 -2 |
| 3.154 | 28.30 | 71 | 0 0 6 |
| 3.065 | 29.13 | 73 | 2 0 2 |
| 2.916 | 30.66 | 62 | 2 0 -4 |
| 2.682 | 33.41 | 60 | 1 3 4 |
| 1.666 | 55.13 | 71 | 3 3 5 |

Structure:
```
data_Ac12La5Tm
_space_group_name_H-M_alt 'C 1 2/m 1'
_space_group_IT_number 12
_space_group_name_Hall '-C 2y'
_cell_length_a 6.800
_cell_length_b 11.768
_cell_length_c 19.060
_cell_angle_alpha 90.00
_cell_angle_beta 96.85
_cell_angle_gamma 90.00
loop_
_atom_site_label
_atom_site_fract_x
_atom_site_fract_y
_atom_site_fract_z
Ac1 0.111 0.165 0.337
Ac2 0.116 0.500 0.337
Ac3 0.222 0.333 0.164
Ac4 0.223 0.000 0.164
La1 0.000 0.167 0.000
La2 0.000 0.333 0.500
La3 0.000 0.500 0.000
Tm1 0.000 0.000 0.500
```


(5)
Computed XRD peak list of Ac5LaTm for CuKα, from the PBE geometry in Alexandria.
Kinematic intensities with the Lorentz-polarization factor, no thermal factor.

Principal peaks in the range 2θ from 10° to 80°, in order of rising 2θ:
| d (Å) | Position (°2θ) | intensity | index |
| --- | --- | --- | --- |
| 6.469 | 13.69 | 72 | 0 0 2 |
| 4.063 | 21.87 | 98 | 1 1 2 |
| 3.234 | 27.58 | 100 | 0 0 4 |
| 3.094 | 28.86 | 89 | 2 0 0 |
| 2.874 | 31.12 | 67 | 1 3 0 |
| 2.235 | 40.35 | 77 | 2 0 4 |

Structure:
```
data_Ac5LaTm
_space_group_name_H-M_alt 'I m m m'
_space_group_IT_number 71
_space_group_name_Hall '-I 2 2'
_cell_length_a 6.188
_cell_length_b 9.735
_cell_length_c 12.937
_cell_angle_alpha 90.00
_cell_angle_beta 90.00
_cell_angle_gamma 90.00
loop_
_atom_site_label
_atom_site_fract_x
_atom_site_fract_y
_atom_site_fract_z
Ac1 0.000 0.000 0.000
Ac2 0.000 0.185 0.500
Ac3 0.000 0.500 0.251
La1 0.000 0.500 0.000
Tm1 0.000 0.500 0.500
```


(6)
Computed XRD peak list of AcLa8Tm5 for CuKα, from the PBE geometry in Alexandria.
Kinematic intensities with the Lorentz-polarization factor, no thermal factor.

Principal peaks in the range 2θ from 10° to 80°, in order of rising 2θ:
| d (Å) | Position (°2θ) | intensity | index |
| --- | --- | --- | --- |
| 3.071 | 29.08 | 50 | 2 -1 1 |
| 2.944 | 30.36 | 40 | 2 -2 1 |
| 2.935 | 30.45 | 100 | 1 1 1 |
| 2.875 | 31.11 | 65 | 2 2 -2 |
| 2.765 | 32.38 | 66 | 3 0 -2 |
| 2.619 | 34.23 | 28 | 3 -1 0 |

Structure:
```
data_AcLa8Tm5
_space_group_name_H-M_alt 'P 1'
_space_group_IT_number 1
_space_group_name_Hall 'P 1'
_cell_length_a 8.580
_cell_length_b 8.582
_cell_length_c 8.932
_cell_angle_alpha 117.41
_cell_angle_beta 113.67
_cell_angle_gamma 95.90
loop_
_atom_site_label
_atom_site_fract_x
_atom_site_fract_y
_atom_site_fract_z
Ac1 0.000 0.000 0.000
La1 0.094 0.701 0.216
La2 0.131 0.972 0.689
La3 0.285 0.441 0.311
La4 0.335 0.592 0.945
La5 0.486 0.876 0.783
La6 0.648 0.389 0.055
La7 0.690 0.543 0.695
La8 0.849 0.993 0.304
Tm1 0.333 0.186 0.540
Tm2 0.504 0.125 0.246
Tm3 0.647 0.792 0.459
Tm4 0.880 0.257 0.754
Tm5 0.976 0.475 0.500
```


(7)
Computed XRD peak list of Ac3La8Tm for CuKα, from the PBE geometry in Alexandria.
Kinematic intensities with the Lorentz-polarization factor, no thermal factor.

Principal peaks in the range 2θ from 10° to 80°, in order of rising 2θ:
| d (Å) | Position (°2θ) | intensity | index |
| --- | --- | --- | --- |
| 4.200 | 21.15 | 31 | 1 2 1 |
| 2.986 | 29.92 | 49 | 2 2 0 |
| 2.967 | 30.12 | 100 | 1 2 3 |
| 2.952 | 30.28 | 39 | 0 4 0 |
| 2.100 | 43.07 | 18 | 2 4 2 |
| 1.888 | 48.21 | 19 | 3 2 3 |

Structure:
```
data_Ac3La8Tm
_space_group_name_H-M_alt 'I m m m'
_space_group_IT_number 71
_space_group_name_Hall '-I 2 2'
_cell_length_a 6.919
_cell_length_b 11.807
_cell_length_c 11.862
_cell_angle_alpha 90.00
_cell_angle_beta 90.00
_cell_angle_gamma 90.00
loop_
_atom_site_label
_atom_site_fract_x
_atom_site_fract_y
_atom_site_fract_z
Ac1 0.000 0.000 0.000
Ac2 0.000 0.244 0.500
La1 0.000 0.256 0.172
La2 0.221 0.000 0.277
Tm1 0.000 0.500 0.000
```


(8)
Computed XRD peak list of AcLa5Y2Tm for CuKα, from the PBE geometry in Alexandria.
Kinematic intensities with the Lorentz-polarization factor, no thermal factor.

Principal peaks in the range 2θ from 10° to 80°, in order of rising 2θ:
| d (Å) | Position (°2θ) | intensity | index |
| --- | --- | --- | --- |
| 3.187 | 28.00 | 100 | 2 0 2 |
| 2.961 | 30.18 | 38 | 2 1 2 |
| 2.833 | 31.58 | 31 | 2 2 0 |
| 2.628 | 34.12 | 26 | 0 0 4 |
| 1.927 | 47.17 | 20 | 2 2 4 |
| 1.824 | 50.02 | 21 | 4 1 2 |

Structure:
```
data_AcLa5Y2Tm
_space_group_name_H-M_alt 'P 4/m b m'
_space_group_IT_number 127
_space_group_name_Hall '-P 4 2ab'
_cell_length_a 8.014
_cell_length_b 8.014
_cell_length_c 10.513
_cell_angle_alpha 90.00
_cell_angle_beta 90.00
_cell_angle_gamma 90.00
loop_
_atom_site_label
_atom_site_fract_x
_atom_site_fract_y
_atom_site_fract_z
Ac1 0.000 0.000 0.000
La1 0.000 0.000 0.500
La2 0.197 0.303 0.246
Y1 0.131 0.631 0.500
Tm1 0.000 0.500 0.000
```